For PrCrSO2, a DFT-relaxed cell (PBE+U, Alexandria) gives the theoretical PXRD pattern in this record (a wavelength of 1.5418 Å).
Kinematic intensities with the Lorentz-polarization factor, no thermal factor.

Top 12 peaks for 2θ from 5° to 70°, in order of rising 2θ:
- 2θ = 16.44°, I 520, (0 0 1)
- 2θ = 28.02°, I 1000, (1 0 1)
- 2θ = 32.08°, I 491, (1 1 0)
- 2θ = 36.25°, I 277, (1 1 1)
- 2θ = 40.53°, I 563, (1 0 2)
- 2θ = 46.00°, I 308, (2 0 0)
- 2θ = 46.87°, I 153, (1 1 2)
- 2θ = 49.18°, I 122, (2 0 1)
- 2θ = 54.73°, I 302, (2 1 1)
- 2θ = 61.37°, I 129, (1 1 3)
- 2θ = 62.96°, I 293, (2 1 2)
- 2θ = 67.09°, I 92, (2 2 0)

Crystal structure
Cell: 3.9457 3.9457 5.3909 Å, 90.00 90.00 90.00°
Space group P4mm (No. 99)
Unique sites:
Pr 0.0000 0.0000 0.0000 (multiplicity 1)
Cr 0.5000 0.5000 0.3390 (multiplicity 1)
S 0.5000 0.5000 0.7776 (multiplicity 1)
O 0.0000 0.5000 0.2600 (multiplicity 2)